[1]
Starting from a DFT-relaxed cell (GGA-PBE, Alexandria), the X-ray powder pattern of AsF6 was computed for Cu Kα, 1.54184 Å.

Structural model:
a = 9.931 Å, b = 8.808 Å, c = 5.136 Å
α = 90.00°, β = 90.00°, γ = 90.00°
Fractional coordinates of all 28 atoms:
As 0.130 0.250 0.088
As 0.370 0.750 0.588
As 0.630 0.250 0.412
As 0.870 0.750 0.912
F 0.016 0.250 0.824
F 0.033 0.108 0.245
F 0.033 0.392 0.245
F 0.227 0.108 0.932
F 0.227 0.392 0.932
F 0.244 0.250 0.353
F 0.256 0.750 0.853
F 0.273 0.608 0.432
F 0.273 0.892 0.432
F 0.467 0.608 0.745
F 0.467 0.892 0.745
F 0.484 0.750 0.324
F 0.516 0.250 0.676
F 0.533 0.108 0.255
F 0.533 0.392 0.255
F 0.727 0.108 0.568
F 0.727 0.392 0.568
F 0.744 0.250 0.147
F 0.756 0.750 0.647
F 0.773 0.608 0.068
F 0.773 0.892 0.068
F 0.967 0.608 0.755
F 0.967 0.892 0.755
F 0.984 0.750 0.176

The 8 most intense peaks (2θ = 5–70°), in order of falling intensity:
2θ = 20.53°, rel. 100
2θ = 21.94°, rel. 60
2θ = 20.16°, rel. 53
2θ = 19.46°, rel. 41
2θ = 20.01°, rel. 31
2θ = 28.16°, rel. 24
2θ = 39.75°, rel. 22
2θ = 44.88°, rel. 17

[2]
Starting from a DFT-relaxed cell (GGA-PBE, Alexandria), the X-ray powder pattern of Sc4CuRh2 was computed for Cu Kα, 1.54184 Å.

Structural model:
a = 7.825 Å, b = 7.825 Å, c = 7.825 Å
α = 33.95°, β = 33.95°, γ = 33.95°
Fractional coordinates of all 7 atoms:
Sc 0.121 0.121 0.121
Sc 0.372 0.372 0.372
Sc 0.628 0.628 0.628
Sc 0.879 0.879 0.879
Cu 0.500 0.500 0.500
Rh 0.247 0.247 0.247
Rh 0.753 0.753 0.753

The 8 most intense peaks (2θ = 5–70°), in order of falling intensity:
2θ = 39.44°, rel. 100
2θ = 39.79°, rel. 95
2θ = 23.89°, rel. 36
2θ = 57.27°, rel. 31
2θ = 12.01°, rel. 15
2θ = 24.16°, rel. 12
2θ = 27.73°, rel. 12
2θ = 46.79°, rel. 12

[3]
Starting from a DFT-relaxed cell (GGA-PBE, Alexandria), the X-ray powder pattern of TbDyTm4S8 was computed for Cu Kα, 1.54184 Å.

Structural model:
a = 7.984 Å, b = 7.984 Å, c = 7.984 Å
α = 59.86°, β = 59.86°, γ = 59.86°
Fractional coordinates of all 14 atoms:
Tb 0.000 0.000 0.000
Dy 0.625 0.625 0.625
Tm 0.127 0.625 0.625
Tm 0.251 0.251 0.251
Tm 0.625 0.127 0.625
Tm 0.625 0.625 0.127
S 0.380 0.380 0.855
S 0.380 0.855 0.380
S 0.383 0.383 0.383
S 0.402 0.869 0.869
S 0.855 0.380 0.380
S 0.866 0.866 0.866
S 0.869 0.402 0.869
S 0.869 0.869 0.402

The 8 most intense peaks (2θ = 5–70°), in order of falling intensity:
2θ = 26.21°, rel. 100
2θ = 41.59°, rel. 28
2θ = 45.55°, rel. 28
2θ = 45.44°, rel. 28
2θ = 22.29°, rel. 26
2θ = 63.38°, rel. 18
2θ = 31.74°, rel. 18
2θ = 27.39°, rel. 15